Starting from a crystal structure in Alexandria, relaxed with GGA+U, the XRD peak list of Ni3P2H16O16 was computed for λ = 1.5418 Å (Cu Kα).
Intensities are scaled so that the largest is 100.

The 10 most intense peaks (2θ from 15° to 90°), in order of rising 2θ:
d (Å)	I/Imax
4.861	100
4.501	49
4.010	47
3.841	74
3.169	82
2.941	73
2.687	64
2.662	54
2.501	55
2.420	57

Structure:
```
Ni3P2H16O16
1.0
5.0367 -6.6025 0.0000
5.0367 6.6025 0.0000
-1.2192 0.0000 4.5008
Ni P H O
3 2 16 16
direct
0.0000 0.0000 0.0000 Ni
0.3885 0.6115 0.0000 Ni
0.6115 0.3885 0.0000 Ni
0.3138 0.3138 0.3842 P
0.6862 0.6862 0.6158 P
0.0426 0.2049 0.6399 H
0.0623 0.3139 0.9627 H
0.1797 0.5697 0.5132 H
0.1854 0.7472 0.7208 H
0.2049 0.0426 0.6399 H
0.2528 0.8146 0.2792 H
0.3139 0.0623 0.9627 H
0.4303 0.8203 0.4868 H
0.5697 0.1797 0.5132 H
0.6861 0.9377 0.0373 H
0.7472 0.1854 0.7208 H
0.7951 0.9574 0.3601 H
0.8146 0.2528 0.2792 H
0.8203 0.4303 0.4868 H
0.9377 0.6861 0.0373 H
0.9574 0.7951 0.3601 H
0.0171 0.7874 0.1891 O
0.1575 0.1575 0.3860 O
0.1775 0.6260 0.7171 O
0.2126 0.9829 0.8109 O
0.2416 0.4393 0.2253 O
0.3740 0.8225 0.2829 O
0.3996 0.3996 0.7131 O
0.4393 0.2416 0.2253 O
0.5607 0.7584 0.7747 O
0.6004 0.6004 0.2869 O
0.6260 0.1775 0.7171 O
0.7584 0.5607 0.7747 O
0.7874 0.0171 0.1891 O
0.8225 0.3740 0.2829 O
0.8425 0.8425 0.6140 O
0.9829 0.2126 0.8109 O
```